The following is a theoretical PXRD pattern of CdI2. It was derived from a DFT-relaxed cell (PBE, the Materials Project), using copper Kα.
No peak broadening, texture or thermal motion is included.

Atomic structure:
a b c (Å): 4.3326 4.3326 74.3984
angles (deg): 90.00 90.00 120.00
Element x y z (fractional)
Cd1 0.0000 0.0000 0.0000
Cd2 0.0000 0.0000 0.1000
Cd3 0.0000 0.0000 0.3000
Cd4 0.0000 0.0000 0.5000
Cd5 0.0000 0.0000 0.6999
Cd6 0.6667 0.3333 0.2000
Cd7 0.6667 0.3333 0.4000
Cd8 0.6667 0.3333 0.6000
Cd9 0.6667 0.3333 0.7999
Cd10 0.6667 0.3333 0.9000
I1 0.0000 0.0000 0.1768
I2 0.0000 0.0000 0.3768
I3 0.0000 0.0000 0.5768
I4 0.0000 0.0000 0.7767
I5 0.0000 0.0000 0.8768
I6 0.3333 0.6667 0.0232
I7 0.3333 0.6667 0.1232
I8 0.3333 0.6667 0.2232
I9 0.3333 0.6667 0.3232
I10 0.3333 0.6667 0.4232
I11 0.3333 0.6667 0.5232
I12 0.3333 0.6667 0.6232
I13 0.3333 0.6667 0.7232
I14 0.3333 0.6667 0.8232
I15 0.3333 0.6667 0.9232
I16 0.6667 0.3333 0.0768
I17 0.6667 0.3333 0.2768
I18 0.6667 0.3333 0.4768
I19 0.6667 0.3333 0.6767
I20 0.6667 0.3333 0.9768

The 6 most intense peaks (15° ≤ 2θ ≤ 90°), low angle first:
2θ/deg  d (Å)  intensity
26.61  3.350  100
29.86  2.992  24
33.93  2.642  22
41.69  2.166  54
43.76  2.069  26
66.23  1.411  23



The following is a theoretical PXRD pattern of CdI2. It was derived from a DFT-relaxed cell (PBE, the Materials Project), using copper Kα.
No peak broadening, texture or thermal motion is included.

Atomic structure:
a b c (Å): 4.3515 4.3515 29.3058
angles (deg): 90.00 90.00 120.00
Element x y z (fractional)
Cd1 0.0000 0.0000 0.0000
Cd2 0.0000 0.0000 0.2501
Cd3 0.0000 0.0000 0.5000
Cd4 0.3333 0.6667 0.7501
I1 0.0000 0.0000 0.6913
I2 0.3333 0.6667 0.1913
I3 0.3333 0.6667 0.4412
I4 0.3333 0.6667 0.9412
I5 0.6667 0.3333 0.0588
I6 0.6667 0.3333 0.3089
I7 0.6667 0.3333 0.5588
I8 0.6667 0.3333 0.8088

The 6 most intense peaks (15° ≤ 2θ ≤ 90°), low angle first:
2θ/deg  d (Å)  intensity
26.60  3.351  100
34.13  2.627  32
41.50  2.176  53
44.19  2.049  26
49.98  1.825  17
66.76  1.401  21



The following is a theoretical PXRD pattern of CdI2. It was derived from a DFT-relaxed cell (PBE, the Materials Project), using copper Kα.
No peak broadening, texture or thermal motion is included.

Atomic structure:
a b c (Å): 4.3356 4.3356 74.0528
angles (deg): 90.00 90.00 120.00
Element x y z (fractional)
Cd1 0.0000 0.0000 0.0000
Cd2 0.0000 0.0000 0.2000
Cd3 0.0000 0.0000 0.4000
Cd4 0.0000 0.0000 0.6000
Cd5 0.0000 0.0000 0.8000
Cd6 0.3333 0.6667 0.1000
Cd7 0.3333 0.6667 0.3000
Cd8 0.3333 0.6667 0.5000
Cd9 0.6667 0.3333 0.7000
Cd10 0.6667 0.3333 0.9000
I1 0.0000 0.0000 0.1233
I2 0.0000 0.0000 0.3233
I3 0.0000 0.0000 0.5233
I4 0.0000 0.0000 0.6767
I5 0.0000 0.0000 0.8767
I6 0.3333 0.6667 0.0233
I7 0.3333 0.6667 0.2233
I8 0.3333 0.6667 0.4233
I9 0.3333 0.6667 0.6233
I10 0.3333 0.6667 0.7233
I11 0.3333 0.6667 0.8233
I12 0.3333 0.6667 0.9233
I13 0.6667 0.3333 0.0767
I14 0.6667 0.3333 0.1767
I15 0.6667 0.3333 0.2767
I16 0.6667 0.3333 0.3767
I17 0.6667 0.3333 0.4767
I18 0.6667 0.3333 0.5767
I19 0.6667 0.3333 0.7767
I20 0.6667 0.3333 0.9767

The 6 most intense peaks (15° ≤ 2θ ≤ 90°), low angle first:
2θ/deg  d (Å)  intensity
26.62  3.349  100
29.90  2.989  61
38.72  2.326  39
41.66  2.168  72
43.90  2.063  24
66.41  1.408  31



The following is a theoretical PXRD pattern of CdI2. It was derived from a DFT-relaxed cell (PBE, the Materials Project), using copper Kα.
No peak broadening, texture or thermal motion is included.

Atomic structure:
a b c (Å): 4.3336 4.3336 59.2994
angles (deg): 90.00 90.00 120.00
Element x y z (fractional)
Cd1 0.0000 0.0000 0.0000
Cd2 0.0000 0.0000 0.1250
Cd3 0.0000 0.0000 0.2500
Cd4 0.0000 0.0000 0.5000
Cd5 0.0000 0.0000 0.7500
Cd6 0.3333 0.6667 0.6250
Cd7 0.3333 0.6667 0.8750
Cd8 0.6667 0.3333 0.3750
I1 0.0000 0.0000 0.3459
I2 0.0000 0.0000 0.6541
I3 0.0000 0.0000 0.9041
I4 0.3333 0.6667 0.0291
I5 0.3333 0.6667 0.1541
I6 0.3333 0.6667 0.2791
I7 0.3333 0.6667 0.4041
I8 0.3333 0.6667 0.5291
I9 0.3333 0.6667 0.7791
I10 0.6667 0.3333 0.0960
I11 0.6667 0.3333 0.2209
I12 0.6667 0.3333 0.4709
I13 0.6667 0.3333 0.5960
I14 0.6667 0.3333 0.7209
I15 0.6667 0.3333 0.8460
I16 0.6667 0.3333 0.9709

The 6 most intense peaks (15° ≤ 2θ ≤ 90°), low angle first:
2θ/deg  d (Å)  intensity
26.62  3.348  100
29.90  2.989  29
34.00  2.637  20
41.68  2.167  59
43.87  2.064  25
66.38  1.408  27



The following is a theoretical PXRD pattern of CdI2. It was derived from a DFT-relaxed cell (PBE, the Materials Project), using copper Kα.
No peak broadening, texture or thermal motion is included.

Atomic structure:
a b c (Å): 14.9818 14.9818 14.9818
angles (deg): 16.63 16.63 16.63
Element x y z (fractional)
Cd1 0.0000 0.0000 0.0000
Cd2 0.5000 0.5000 0.5000
I1 0.1277 0.1277 0.1277
I2 0.2944 0.2944 0.2944
I3 0.7056 0.7056 0.7056
I4 0.8723 0.8723 0.8723

The 6 most intense peaks (15° ≤ 2θ ≤ 90°), low angle first:
2θ/deg  d (Å)  intensity
25.78  3.456  100
27.63  3.229  93
28.73  3.107  48
31.23  2.864  65
37.16  2.420  50
41.68  2.167  87



The following is a theoretical PXRD pattern of CdI2. It was derived from a DFT-relaxed cell (PBE, the Materials Project), using copper Kα.
No peak broadening, texture or thermal motion is included.

Atomic structure:
a b c (Å): 4.3335 4.3335 59.3600
angles (deg): 90.00 90.00 120.00
Element x y z (fractional)
Cd1 0.0000 0.0000 0.0000
Cd2 0.0000 0.0000 0.1250
Cd3 0.0000 0.0000 0.5000
Cd4 0.0000 0.0000 0.7500
Cd5 0.3333 0.6667 0.2500
Cd6 0.6667 0.3333 0.3751
Cd7 0.6667 0.3333 0.6251
Cd8 0.6667 0.3333 0.8751
I1 0.0000 0.0000 0.2209
I2 0.0000 0.0000 0.4042
I3 0.0000 0.0000 0.6541
I4 0.0000 0.0000 0.9041
I5 0.3333 0.6667 0.0960
I6 0.3333 0.6667 0.3461
I7 0.3333 0.6667 0.4709
I8 0.3333 0.6667 0.5960
I9 0.3333 0.6667 0.7209
I10 0.3333 0.6667 0.8460
I11 0.3333 0.6667 0.9710
I12 0.6667 0.3333 0.0291
I13 0.6667 0.3333 0.1541
I14 0.6667 0.3333 0.2790
I15 0.6667 0.3333 0.5291
I16 0.6667 0.3333 0.7791

The 6 most intense peaks (15° ≤ 2θ ≤ 90°), low angle first:
2θ/deg  d (Å)  intensity
26.62  3.349  100
29.88  2.990  45
38.68  2.328  23
41.68  2.167  67
43.84  2.065  24
66.34  1.409  29



The following is a theoretical PXRD pattern of CdI2. It was derived from a DFT-relaxed cell (PBE, the Materials Project), using copper Kα.
No peak broadening, texture or thermal motion is included.

Atomic structure:
a b c (Å): 4.3431 4.3431 110.4033
angles (deg): 90.00 90.00 120.00
Element x y z (fractional)
Cd1 0.0000 0.0000 0.0000
Cd2 0.0000 0.0000 0.0667
Cd3 0.0000 0.0000 0.2000
Cd4 0.0000 0.0000 0.3333
Cd5 0.0000 0.0000 0.4667
Cd6 0.0000 0.0000 0.6000
Cd7 0.0000 0.0000 0.7333
Cd8 0.0000 0.0000 0.8667
Cd9 0.6667 0.3333 0.1333
Cd10 0.6667 0.3333 0.2667
Cd11 0.6667 0.3333 0.4000
Cd12 0.6667 0.3333 0.5333
Cd13 0.6667 0.3333 0.6667
Cd14 0.6667 0.3333 0.8000
Cd15 0.6667 0.3333 0.9333
I1 0.0000 0.0000 0.1177
I2 0.0000 0.0000 0.2510
I3 0.0000 0.0000 0.3843
I4 0.0000 0.0000 0.5177
I5 0.0000 0.0000 0.6510
I6 0.0000 0.0000 0.7843
I7 0.0000 0.0000 0.9177
I8 0.3333 0.6667 0.0157
I9 0.3333 0.6667 0.0823
I10 0.3333 0.6667 0.1490
I11 0.3333 0.6667 0.2157
I12 0.3333 0.6667 0.2823
I13 0.3333 0.6667 0.3490
I14 0.3333 0.6667 0.4157
I15 0.3333 0.6667 0.4823
I16 0.3333 0.6667 0.5490
I17 0.3333 0.6667 0.6157
I18 0.3333 0.6667 0.6823
I19 0.3333 0.6667 0.7490
I20 0.3333 0.6667 0.8157
I21 0.3333 0.6667 0.8823
I22 0.3333 0.6667 0.9490
I23 0.6667 0.3333 0.0510
I24 0.6667 0.3333 0.1843
I25 0.6667 0.3333 0.3177
I26 0.6667 0.3333 0.4510
I27 0.6667 0.3333 0.5844
I28 0.6667 0.3333 0.7177
I29 0.6667 0.3333 0.8510
I30 0.6667 0.3333 0.9843

The 6 most intense peaks (15° ≤ 2θ ≤ 90°), low angle first:
2θ/deg  d (Å)  intensity
26.61  3.349  100
29.68  3.010  27
30.19  2.961  28
41.59  2.172  53
44.07  2.055  25
66.62  1.404  23



The following is a theoretical PXRD pattern of CdI2. It was derived from a DFT-relaxed cell (PBE, the Materials Project), using copper Kα.
No peak broadening, texture or thermal motion is included.

Atomic structure:
a b c (Å): 4.3384 4.3384 65.0785
angles (deg): 90.00 90.00 120.00
Element x y z (fractional)
Cd1 0.0000 0.0000 0.0000
Cd2 0.0000 0.0000 0.1250
Cd3 0.0000 0.0000 0.3750
Cd4 0.3333 0.6667 0.6248
Cd5 0.6667 0.3333 0.2499
Cd6 0.6667 0.3333 0.4998
Cd7 0.6667 0.3333 0.7499
Cd8 0.6667 0.3333 0.8748
I1 0.0000 0.0000 0.2235
I2 0.0000 0.0000 0.4734
I3 0.0000 0.0000 0.5984
I4 0.0000 0.0000 0.7235
I5 0.0000 0.0000 0.8484
I6 0.3333 0.6667 0.0264
I7 0.3333 0.6667 0.1514
I8 0.3333 0.6667 0.2763
I9 0.3333 0.6667 0.4013
I10 0.3333 0.6667 0.5262
I11 0.3333 0.6667 0.7763
I12 0.3333 0.6667 0.9012
I13 0.6667 0.3333 0.0986
I14 0.6667 0.3333 0.3486
I15 0.6667 0.3333 0.6512
I16 0.6667 0.3333 0.9736

The 6 most intense peaks (15° ≤ 2θ ≤ 90°), low angle first:
2θ/deg  d (Å)  intensity
26.13  3.411  100
29.73  3.005  29
32.44  2.760  24
41.64  2.169  68
43.16  2.096  28
72.64  1.302  26